1.
Structure and computed X-ray powder pattern of Pr4CdPd (DFT lattice parameters and positions (GGA-PBE); a wavelength of 1.5418 Å).
Neutral-atom scattering factors, no anomalous dispersion.

```
data_Pr4CdPd
_cell_length_a 14.3027
_cell_length_b 14.3027
_cell_length_c 14.3027
_cell_angle_alpha 90.00
_cell_angle_beta 90.00
_cell_angle_gamma 90.00
_symmetry_space_group_name_H-M 'F -4 3 m'
_symmetry_Int_Tables_number 216
_symmetry_space_group_name_Hall 'F -4 2 3'
loop_
_atom_site_label
_atom_site_fract_x
_atom_site_fract_y
_atom_site_fract_z
Pr1 0.0000 0.0000 0.1848
Pr2 0.0569 0.2500 0.7500
Pr3 0.1005 0.1005 0.3995
Cd1 0.1705 0.1705 0.1705
Pd1 0.1069 0.1069 0.6069
```

Top 10 peaks for 10 to 90 degrees two-theta, by angle:
| (hkl) | d/Å | 2θ (°) | I/Imax |
| --- | --- | --- | --- |
| 3 3 1 | 3.281 | 27.18 | 21 |
| 4 2 2 | 2.920 | 30.62 | 47 |
| 5 1 1 | 2.753 | 32.53 | 100 |
| 4 4 0 | 2.528 | 35.50 | 32 |
| 6 6 0 | 1.686 | 54.43 | 45 |
| 5 5 5 | 1.652 | 55.65 | 14 |
| 9 3 3 | 1.437 | 64.86 | 16 |
| 9 5 1 | 1.383 | 67.77 | 9 |
| 11 5 1 | 1.180 | 81.61 | 13 |
| 10 6 4 | 1.160 | 83.29 | 13 |

***

2.
Structure and computed X-ray powder pattern of ScCdPd2 (DFT lattice parameters and positions (GGA-PBE); a wavelength of 1.5418 Å).
Neutral-atom scattering factors, no anomalous dispersion.

```
data_ScCdPd2
_cell_length_a 6.5816
_cell_length_b 6.5816
_cell_length_c 6.5816
_cell_angle_alpha 90.00
_cell_angle_beta 90.00
_cell_angle_gamma 90.00
_symmetry_space_group_name_H-M 'F m -3 m'
_symmetry_Int_Tables_number 225
_symmetry_space_group_name_Hall '-F 4 2 3'
loop_
_atom_site_label
_atom_site_fract_x
_atom_site_fract_y
_atom_site_fract_z
Sc1 0.0000 0.0000 0.0000
Cd1 0.0000 0.0000 0.5000
Pd1 0.2500 0.2500 0.2500
```

Top 10 peaks for 10 to 90 degrees two-theta, by angle:
| (hkl) | d/Å | 2θ (°) | I/Imax |
| --- | --- | --- | --- |
| 1 1 1 | 3.800 | 23.41 | 8 |
| 2 0 0 | 3.291 | 27.10 | 3 |
| 2 2 0 | 2.327 | 38.70 | 100 |
| 3 1 1 | 1.984 | 45.72 | 4 |
| 4 0 0 | 1.645 | 55.88 | 17 |
| 3 3 1 | 1.510 | 61.40 | 2 |
| 4 2 2 | 1.343 | 70.04 | 33 |
| 5 1 1 | 1.267 | 74.98 | 1 |
| 4 4 0 | 1.163 | 83.00 | 10 |
| 5 3 1 | 1.112 | 87.73 | 1 |

***

3.
Structure and computed X-ray powder pattern of CdPd5Se (DFT lattice parameters and positions (GGA-PBE); a wavelength of 1.5418 Å).
Neutral-atom scattering factors, no anomalous dispersion.

```
data_CdPd5Se
_cell_length_a 4.0671
_cell_length_b 4.0671
_cell_length_c 7.1638
_cell_angle_alpha 90.00
_cell_angle_beta 90.00
_cell_angle_gamma 90.00
_symmetry_space_group_name_H-M 'P 4/m m m'
_symmetry_Int_Tables_number 123
_symmetry_space_group_name_Hall '-P 4 2'
loop_
_atom_site_label
_atom_site_fract_x
_atom_site_fract_y
_atom_site_fract_z
Cd1 0.0000 0.0000 0.0000
Pd1 0.0000 0.5000 0.2855
Pd2 0.5000 0.5000 0.0000
Se1 0.5000 0.5000 0.5000
```

Top 10 peaks for 10 to 90 degrees two-theta, by angle:
| (hkl) | d/Å | 2θ (°) | I/Imax |
| --- | --- | --- | --- |
| 1 1 1 | 2.669 | 33.58 | 20 |
| 0 0 3 | 2.388 | 37.67 | 11 |
| 1 1 2 | 2.243 | 40.21 | 100 |
| 2 0 0 | 2.034 | 44.56 | 42 |
| 0 0 4 | 1.791 | 50.99 | 8 |
| 2 0 3 | 1.548 | 59.73 | 11 |
| 2 2 0 | 1.438 | 64.84 | 13 |
| 2 0 4 | 1.344 | 70.00 | 13 |
| 1 1 5 | 1.282 | 73.90 | 9 |
| 3 1 2 | 1.210 | 79.12 | 27 |